# 1
Structure and calculated powder X-ray diffraction pattern of HfZnPd3 (a PBE-relaxed structure; CuKα).
Neutral-atom scattering factors, no anomalous dispersion.

Peak list (8 most intense, 2θ = 10–90°, low angle first)
12.52 deg, I = 34
32.44 deg, I = 30
36.35 deg, I = 17
40.42 deg, I = 100
40.89 deg, I = 42
41.32 deg, I = 19
43.53 deg, I = 45
74.14 deg, I = 17

Structure:
Unit cell a=4.4139 b=5.5585 c=7.0717 alpha=90.00 beta=90.00 gamma=90.00
Space group Pmmn (No. 59, origin choice 2)
One atom of each set of equivalent atoms:
Hf 0.2500 0.2500 0.1429 (multiplicity 2)
Zn 0.2500 0.7500 0.4405 (multiplicity 2)
Pd 0.2500 0.0071 0.7390 (multiplicity 4)
Pd 0.2500 0.7500 0.0855 (multiplicity 2)

---

# 2
Structure and calculated powder X-ray diffraction pattern of NdMgNi4H6 (a PBE-relaxed structure; CuKα).
Neutral-atom scattering factors, no anomalous dispersion.

Peak list (8 most intense, 2θ = 10–90°, low angle first)
26.93 deg, I = 96
35.73 deg, I = 100
40.47 deg, I = 24
41.03 deg, I = 95
49.76 deg, I = 19
55.51 deg, I = 26
58.99 deg, I = 47
71.30 deg, I = 25

Structure:
Unit cell a=4.3998 b=4.3998 c=6.6869 alpha=90.00 beta=90.00 gamma=120.00
Space group P6/mmm (No. 191)
One atom of each set of equivalent atoms:
Nd 0.0000 0.0000 0.0000 (multiplicity 1)
Mg 0.0000 0.0000 0.5000 (multiplicity 1)
Ni 0.3333 0.6667 0.3200 (multiplicity 4)
H 0.0000 0.5000 0.1708 (multiplicity 6)

---

# 3
Structure and calculated powder X-ray diffraction pattern of TiNb2Te2Se4 (a PBE-relaxed structure; CuKα).
Neutral-atom scattering factors, no anomalous dispersion.

Peak list (8 most intense, 2θ = 10–90°, low angle first)
12.18 deg, I = 64
29.16 deg, I = 65
33.57 deg, I = 22
35.83 deg, I = 100
38.44 deg, I = 23
44.50 deg, I = 45
51.70 deg, I = 43
64.50 deg, I = 17

Structure:
Unit cell a=3.5360 b=3.5360 c=21.8038 alpha=90.00 beta=90.00 gamma=120.00
Space group P3m1 (No. 156)
One atom of each set of equivalent atoms:
Ti 0.0000 0.0000 0.0000 (multiplicity 1)
Nb 0.0000 0.0000 0.6443 (multiplicity 1)
Nb 0.6667 0.3333 0.3283 (multiplicity 1)
Te 0.6667 0.3333 0.0858 (multiplicity 1)
Te 0.6667 0.3333 0.9139 (multiplicity 1)
Se 0.0000 0.0000 0.2518 (multiplicity 1)
Se 0.0000 0.0000 0.4045 (multiplicity 1)
Se 0.6667 0.3333 0.5681 (multiplicity 1)
Se 0.6667 0.3333 0.7208 (multiplicity 1)

---

# 4
Structure and calculated powder X-ray diffraction pattern of PuPdCl6 (a PBE-relaxed structure; CuKα).
Neutral-atom scattering factors, no anomalous dispersion.

Peak list (8 most intense, 2θ = 10–90°, low angle first)
15.48 deg, I = 51
16.28 deg, I = 100
25.59 deg, I = 26
28.86 deg, I = 22
32.87 deg, I = 25
33.97 deg, I = 33
44.63 deg, I = 22
45.70 deg, I = 14

Structure:
Unit cell a=7.0899 b=11.4460 c=7.2871 alpha=90.00 beta=118.87 gamma=90.00
Space group C2/m (No. 12)
One atom of each set of equivalent atoms:
Pu 0.0000 0.0000 0.0000 (multiplicity 2)
Pd 0.0000 0.5000 0.5000 (multiplicity 2)
Cl 0.1980 0.0000 0.7950 (multiplicity 4)
Cl 0.2119 0.3508 0.7261 (multiplicity 8)

---

# 5
Structure and calculated powder X-ray diffraction pattern of Y3Mg9Ag2 (a PBE-relaxed structure; CuKα).
Neutral-atom scattering factors, no anomalous dispersion.

Peak list (8 most intense, 2θ = 10–90°, low angle first)
19.81 deg, I = 57
32.58 deg, I = 100
33.68 deg, I = 40
35.15 deg, I = 46
36.66 deg, I = 38
38.08 deg, I = 33
49.81 deg, I = 22
65.32 deg, I = 20

Structure:
Unit cell a=4.9024 b=11.0516 c=12.4244 alpha=90.00 beta=90.00 gamma=90.00
Space group Immm (No. 71)
One atom of each set of equivalent atoms:
Y 0.0000 0.0000 0.0000 (multiplicity 2)
Y 0.0000 0.0000 0.2891 (multiplicity 4)
Mg 0.0000 0.2764 0.1372 (multiplicity 8)
Mg 0.0000 0.3680 0.3669 (multiplicity 8)
Mg 0.0000 0.5000 0.0000 (multiplicity 2)
Ag 0.0000 0.1554 0.5000 (multiplicity 4)

---

# 6
Structure and calculated powder X-ray diffraction pattern of PmYCuSi (a PBE-relaxed structure; CuKα).
Neutral-atom scattering factors, no anomalous dispersion.

Peak list (8 most intense, 2θ = 10–90°, low angle first)
27.17 deg, I = 38
31.62 deg, I = 100
33.06 deg, I = 54
33.39 deg, I = 25
39.73 deg, I = 50
43.64 deg, I = 46
55.82 deg, I = 24
56.01 deg, I = 35

Structure:
Unit cell a=4.1489 b=4.1482 c=10.7337 alpha=90.00 beta=90.00 gamma=90.00
Space group Amm2 (No. 38)
One atom of each set of equivalent atoms:
Pm 0.0000 0.0000 0.0000 (multiplicity 2)
Y 0.5000 0.0000 0.7196 (multiplicity 2)
Cu 0.0000 0.0000 0.2924 (multiplicity 2)
Si 0.5000 0.0000 0.4259 (multiplicity 2)